Computed powder diffractogram of YMg14Mo for Cu Kα (weighted mean of Kα1 and Kα2), from a GGA-PBE-relaxed structure.
No peak broadening, texture or thermal motion is included.

Main lines, in order of rising 2θ (2θ = 10–90°):
2θ/deg, I (rel.)
15.95, 35.8
23.84, 24.8
32.23, 28.6
35.62, 23.4
36.95, 100.0
48.79, 17.1
57.46, 17.3
69.47, 18.2

Cell: 6.4151 6.4151 10.0807 Å, 90.00 90.00 120.00°
Atoms (fractional coordinates):
Y1 0.0000 0.0000 0.0000
Mg1 0.0098 0.5049 0.0000
Mg2 0.1629 0.3258 0.2646
Mg3 0.1629 0.3258 0.7354
Mg4 0.1629 0.8371 0.2646
Mg5 0.1629 0.8371 0.7354
Mg6 0.4951 0.5049 0.0000
Mg7 0.4951 0.9902 0.0000
Mg8 0.5018 0.0036 0.5000
Mg9 0.5018 0.4982 0.5000
Mg10 0.6667 0.3333 0.2428
Mg11 0.6667 0.3333 0.7572
Mg12 0.6742 0.8371 0.2646
Mg13 0.6742 0.8371 0.7354
Mg14 0.9964 0.4982 0.5000
Mo1 0.0000 0.0000 0.5000

Computed powder diffractogram of CeAsPd for Cu Kα (weighted mean of Kα1 and Kα2), from a GGA-PBE-relaxed structure.
No peak broadening, texture or thermal motion is included.

Main lines, in order of rising 2θ (2θ = 10–90°):
2θ/deg, I (rel.)
32.90, 100.0
41.38, 51.9
46.26, 12.5
53.84, 24.4
63.78, 28.4
70.10, 21.9
75.45, 8.7
77.15, 8.4

Cell: 4.3644 4.3644 7.8499 Å, 90.00 90.00 120.00°
Atoms (fractional coordinates):
Ce1 0.0000 0.0000 0.0000
Ce2 0.0000 0.0000 0.5000
As1 0.3333 0.6667 0.2500
As2 0.6667 0.3333 0.7500
Pd1 0.3333 0.6667 0.7500
Pd2 0.6667 0.3333 0.2500

Computed powder diffractogram of CsAlCuF6 for Cu Kα (weighted mean of Kα1 and Kα2), from a GGA-PBE-relaxed structure.
No peak broadening, texture or thermal motion is included.

Main lines, in order of rising 2θ (2θ = 10–90°):
2θ/deg, I (rel.)
24.57, 44.7
24.73, 24.0
28.77, 54.8
29.06, 100.0
30.28, 19.4
38.29, 20.6
46.13, 25.9
50.38, 31.5

Cell: 7.1928 7.2040 10.3148 Å, 90.00 90.00 90.00°
Atoms (fractional coordinates):
Cs1 0.0152 0.2500 0.1287
Cs2 0.4848 0.7500 0.6287
Cs3 0.5152 0.2500 0.3713
Cs4 0.9848 0.7500 0.8713
Al1 0.0000 0.0000 0.5000
Al2 0.0000 0.5000 0.5000
Al3 0.5000 0.0000 0.0000
Al4 0.5000 0.5000 0.0000
Cu1 0.2265 0.2500 0.7584
Cu2 0.2735 0.7500 0.2584
Cu3 0.7265 0.2500 0.7416
Cu4 0.7735 0.7500 0.2416
F1 0.0224 0.2500 0.4583
F2 0.0286 0.7500 0.1752
F3 0.1536 0.0278 0.6381
F4 0.1536 0.4722 0.6381
F5 0.2018 0.5474 0.3985
F6 0.2018 0.9526 0.3985
F7 0.2982 0.0474 0.8985
F8 0.2982 0.4526 0.8985
F9 0.3464 0.5278 0.1381
F10 0.3464 0.9722 0.1381
F11 0.4714 0.2500 0.6752
F12 0.4776 0.7500 0.9583
F13 0.5224 0.2500 0.0417
F14 0.5286 0.7500 0.3248
F15 0.6536 0.0278 0.8619
F16 0.6536 0.4722 0.8619
F17 0.7018 0.5474 0.1015
F18 0.7018 0.9526 0.1015
F19 0.7982 0.0474 0.6015
F20 0.7982 0.4526 0.6015
F21 0.8464 0.5278 0.3619
F22 0.8464 0.9722 0.3619
F23 0.9714 0.2500 0.8248
F24 0.9776 0.7500 0.5417

Computed powder diffractogram of La3Ge2Rh2 for Cu Kα (weighted mean of Kα1 and Kα2), from a GGA-PBE-relaxed structure.
No peak broadening, texture or thermal motion is included.

Main lines, in order of rising 2θ (2θ = 10–90°):
2θ/deg, I (rel.)
32.50, 53.3
32.84, 47.8
33.19, 46.9
34.19, 45.5
36.02, 80.3
38.57, 100.0
39.94, 36.0
54.87, 29.2

Cell: 5.7757 8.2922 13.5429 Å, 90.00 90.00 90.00°
Atoms (fractional coordinates):
La1 0.1510 0.2486 0.2500
La2 0.1510 0.2514 0.7500
La3 0.3463 0.6064 0.5980
La4 0.3463 0.6064 0.9020
La5 0.3463 0.8936 0.0980
La6 0.3463 0.8936 0.4020
La7 0.6537 0.1064 0.5980
La8 0.6537 0.1064 0.9020
La9 0.6537 0.3936 0.0980
La10 0.6537 0.3936 0.4020
La11 0.8490 0.7486 0.2500
La12 0.8490 0.7514 0.7500
Ge1 0.1432 0.2500 0.0000
Ge2 0.1432 0.2500 0.5000
Ge3 0.3438 0.6035 0.2500
Ge4 0.3438 0.8965 0.7500
Ge5 0.6562 0.1035 0.2500
Ge6 0.6562 0.3965 0.7500
Ge7 0.8568 0.7500 0.0000
Ge8 0.8568 0.7500 0.5000
Rh1 0.1180 0.5363 0.0911
Rh2 0.1180 0.5363 0.4089
Rh3 0.1180 0.9637 0.5911
Rh4 0.1180 0.9637 0.9089
Rh5 0.8820 0.0363 0.0911
Rh6 0.8820 0.0363 0.4089
Rh7 0.8820 0.4637 0.5911
Rh8 0.8820 0.4637 0.9089

Computed powder diffractogram of In2Ni3Se2 for Cu Kα (weighted mean of Kα1 and Kα2), from a GGA-PBE-relaxed structure.
No peak broadening, texture or thermal motion is included.

Main lines, in order of rising 2θ (2θ = 10–90°):
2θ/deg, I (rel.)
31.18, 79.3
32.66, 96.3
37.79, 28.8
38.42, 29.6
39.98, 40.9
45.78, 100.0
49.78, 28.6
68.43, 33.9

Cell: 5.7483 5.7483 5.7483 Å, 56.98 56.98 56.98°
Atoms (fractional coordinates):
In1 0.0000 0.0000 0.0000
In2 0.5000 0.5000 0.5000
Ni1 0.0000 0.5000 0.5000
Ni2 0.5000 0.0000 0.5000
Ni3 0.5000 0.5000 0.0000
Se1 0.2182 0.2182 0.2182
Se2 0.7818 0.7818 0.7818

Computed powder diffractogram of BeP2 for Cu Kα (weighted mean of Kα1 and Kα2), from a GGA-PBE-relaxed structure.
No peak broadening, texture or thermal motion is included.

Main lines, in order of rising 2θ (2θ = 10–90°):
2θ/deg, I (rel.)
28.22, 6.7
29.47, 9.3
30.82, 100.0
51.43, 61.0
61.15, 29.7
61.22, 5.9
75.65, 6.5
83.91, 12.8

Cell: 7.1110 7.1110 7.9379 Å, 102.91 102.91 90.00°
Atoms (fractional coordinates):
Be1 0.1030 0.7302 0.9235
Be2 0.2691 0.3903 0.5732
Be3 0.2698 0.8970 0.5765
Be4 0.3903 0.2691 0.0732
Be5 0.6097 0.7309 0.9268
Be6 0.7302 0.1030 0.4235
Be7 0.7309 0.6097 0.4268
Be8 0.8970 0.2698 0.0765
P1 0.0668 0.4422 0.7472
P2 0.0677 0.9323 0.7500
P3 0.1022 0.2299 0.9166
P4 0.2299 0.1022 0.4166
P5 0.2312 0.6073 0.4210
P6 0.3927 0.7688 0.0790
P7 0.4422 0.0668 0.2472
P8 0.4428 0.5572 0.2500
P9 0.5572 0.4428 0.7500
P10 0.5578 0.9332 0.7528
P11 0.6073 0.2312 0.9210
P12 0.7688 0.3927 0.5790
P13 0.7701 0.8978 0.5834
P14 0.8978 0.7701 0.0834
P15 0.9323 0.0677 0.2500
P16 0.9332 0.5578 0.2528

Computed powder diffractogram of KCaTbBiO6 for Cu Kα (weighted mean of Kα1 and Kα2), from a GGA-PBE-relaxed structure.
No peak broadening, texture or thermal motion is included.

Main lines, in order of rising 2θ (2θ = 10–90°):
2θ/deg, I (rel.)
20.61, 32.1
20.81, 64.7
29.45, 100.0
29.59, 50.0
42.34, 30.1
47.56, 22.9
52.15, 23.5
52.41, 43.7

Cell: 8.5359 8.5416 8.6192 Å, 90.00 90.00 90.00°
Atoms (fractional coordinates):
K1 0.2500 0.2500 0.2500
K2 0.2500 0.7500 0.7500
K3 0.7500 0.2500 0.2500
K4 0.7500 0.7500 0.7500
Ca1 0.2500 0.2500 0.7500
Ca2 0.2500 0.7500 0.2500
Ca3 0.7500 0.2500 0.7500
Ca4 0.7500 0.7500 0.2500
Tb1 0.0000 0.0000 0.0000
Tb2 0.0000 0.5000 0.5000
Tb3 0.5000 0.0000 0.5000
Tb4 0.5000 0.5000 0.0000
Bi1 0.0000 0.0000 0.5000
Bi2 0.0000 0.5000 0.0000
Bi3 0.5000 0.0000 0.0000
Bi4 0.5000 0.5000 0.5000
O1 0.0332 0.2421 0.5549
O2 0.0332 0.2579 0.9451
O3 0.0348 0.0154 0.2574
O4 0.0348 0.4846 0.2426
O5 0.2426 0.5331 0.9775
O6 0.2426 0.9669 0.5225
O7 0.2574 0.5331 0.5225
O8 0.2574 0.9669 0.9775
O9 0.4652 0.0154 0.2426
O10 0.4652 0.4846 0.2574
O11 0.4668 0.2421 0.9451
O12 0.4668 0.2579 0.5549
O13 0.5332 0.7421 0.4451
O14 0.5332 0.7579 0.0549
O15 0.5348 0.5154 0.7426
O16 0.5348 0.9846 0.7574
O17 0.7426 0.0331 0.0225
O18 0.7426 0.4669 0.4775
O19 0.7574 0.0331 0.4775
O20 0.7574 0.4669 0.0225
O21 0.9652 0.5154 0.7574
O22 0.9652 0.9846 0.7426
O23 0.9668 0.7421 0.0549
O24 0.9668 0.7579 0.4451

Computed powder diffractogram of AsHPbO4 for Cu Kα (weighted mean of Kα1 and Kα2), from a GGA-PBE-relaxed structure.
No peak broadening, texture or thermal motion is included.

Main lines, in order of rising 2θ (2θ = 10–90°):
2θ/deg, I (rel.)
13.04, 26.1
19.91, 25.1
25.97, 100.0
26.25, 32.8
27.80, 95.3
30.23, 28.9
40.46, 35.2
50.11, 29.1

Cell: 4.9729 6.7901 5.9360 Å, 90.00 95.10 90.00°
Atoms (fractional coordinates):
As1 0.0000 0.2081 0.2500
As2 0.0000 0.7919 0.7500
H1 0.0000 0.5000 0.0000
H2 0.0000 0.5000 0.5000
Pb1 0.5000 0.2031 0.7500
Pb2 0.5000 0.7969 0.2500
O1 0.1397 0.3582 0.0541
O2 0.1397 0.6418 0.5541
O3 0.2518 0.0703 0.3904
O4 0.2518 0.9297 0.8904
O5 0.7482 0.0703 0.1096
O6 0.7482 0.9297 0.6096
O7 0.8603 0.3582 0.4459
O8 0.8603 0.6418 0.9459